# 1
Diffraction record for K3Sb5Au6. The powder XRD pattern is theoretical, not measured: it uses a GGA-PBE-relaxed structure and Cu Kα (weighted mean of Kα1 and Kα2).
Neutral-atom scattering factors, no anomalous dispersion.

Structure:
```
data_K3Sb5Au6
_chemical_formula_sum 'K6 Sb10 Au12'
_cell_length_a 4.595
_cell_length_b 13.680
_cell_length_c 11.991
_cell_angle_alpha 90.00
_cell_angle_beta 90.00
_cell_angle_gamma 90.00
_space_group_name_H-M_alt 'P 1'
_space_group_IT_number 1
_space_group_name_Hall 'P 1'
loop_
_atom_site_label
_atom_site_type_symbol
_atom_site_fract_x
_atom_site_fract_y
_atom_site_fract_z
_atom_site_occupancy
K1 K 0.250 0.098 0.243 1
K2 K 0.250 0.402 0.243 1
K3 K 0.250 0.750 0.252 1
K4 K 0.750 0.250 0.748 1
K5 K 0.750 0.598 0.757 1
K6 K 0.750 0.902 0.757 1
Sb1 Sb 0.250 0.077 0.642 1
Sb2 Sb 0.250 0.423 0.642 1
Sb3 Sb 0.250 0.618 0.995 1
Sb4 Sb 0.250 0.750 0.616 1
Sb5 Sb 0.250 0.882 0.995 1
Sb6 Sb 0.750 0.118 0.005 1
Sb7 Sb 0.750 0.250 0.384 1
Sb8 Sb 0.750 0.382 0.005 1
Sb9 Sb 0.750 0.577 0.358 1
Sb10 Sb 0.750 0.923 0.358 1
Au1 Au 0.250 0.062 0.872 1
Au2 Au 0.250 0.250 0.512 1
Au3 Au 0.250 0.250 0.997 1
Au4 Au 0.250 0.438 0.872 1
Au5 Au 0.250 0.579 0.491 1
Au6 Au 0.250 0.921 0.491 1
Au7 Au 0.750 0.079 0.509 1
Au8 Au 0.750 0.421 0.509 1
Au9 Au 0.750 0.562 0.128 1
Au10 Au 0.750 0.750 0.003 1
Au11 Au 0.750 0.750 0.488 1
Au12 Au 0.750 0.938 0.128 1
```

Peak list (10 most intense, 10° ≤ 2θ ≤ 80°, sorted by position)
2θ/deg	d [Å]	intensity
14.8	5.995	79
20.7	4.291	20
20.8	4.262	17
29.7	3.004	17
31.4	2.848	100
39.2	2.298	38
39.5	2.280	26
41.0	2.199	88
56.9	1.618	18
72.3	1.307	17


# 2
Diffraction record for K2Sb2Au3. The powder XRD pattern is theoretical, not measured: it uses a GGA-PBE-relaxed structure and Cu Kα (weighted mean of Kα1 and Kα2).
Neutral-atom scattering factors, no anomalous dispersion.

Structure:
```
data_K2Sb2Au3
_chemical_formula_sum 'K2 Sb2 Au3'
_cell_length_a 6.633
_cell_length_b 6.633
_cell_length_c 7.824
_cell_angle_alpha 121.29
_cell_angle_beta 121.29
_cell_angle_gamma 40.90
_space_group_name_H-M_alt 'P 1'
_space_group_IT_number 1
_space_group_name_Hall 'P 1'
loop_
_atom_site_label
_atom_site_type_symbol
_atom_site_fract_x
_atom_site_fract_y
_atom_site_fract_z
_atom_site_occupancy
K1 K 0.159 0.159 0.286 1
K2 K 0.841 0.841 0.714 1
Sb1 Sb 0.135 0.135 0.757 1
Sb2 Sb 0.865 0.865 0.243 1
Au1 Au 0.410 0.410 0.061 1
Au2 Au 0.500 0.500 0.500 1
Au3 Au 0.590 0.590 0.939 1
```

Peak list (10 most intense, 10° ≤ 2θ ≤ 80°, sorted by position)
2θ/deg	d [Å]	intensity
14.8	5.972	100
17.1	5.173	56
21.0	4.230	82
29.2	3.054	54
30.6	2.920	93
32.4	2.767	51
38.5	2.337	96
38.9	2.318	71
39.8	2.266	74
42.5	2.125	70


# 3
Diffraction record for KSn2Sb2Au6. The powder XRD pattern is theoretical, not measured: it uses a GGA-PBE-relaxed structure and Cu Kα (weighted mean of Kα1 and Kα2).
Neutral-atom scattering factors, no anomalous dispersion.

Structure:
```
data_KSn2Sb2Au6
_chemical_formula_sum 'K1 Sn2 Sb2 Au6'
_cell_length_a 5.840
_cell_length_b 7.225
_cell_length_c 7.304
_cell_angle_alpha 71.64
_cell_angle_beta 85.33
_cell_angle_gamma 85.55
_space_group_name_H-M_alt 'P 1'
_space_group_IT_number 1
_space_group_name_Hall 'P 1'
loop_
_atom_site_label
_atom_site_type_symbol
_atom_site_fract_x
_atom_site_fract_y
_atom_site_fract_z
_atom_site_occupancy
K1 K 0.000 0.000 0.000 1
Sn1 Sn 0.114 0.627 0.636 1
Sn2 Sn 0.886 0.373 0.364 1
Sb1 Sb 0.491 0.159 0.162 1
Sb2 Sb 0.509 0.841 0.838 1
Au1 Au 0.236 0.009 0.519 1
Au2 Au 0.237 0.516 0.015 1
Au3 Au 0.358 0.410 0.416 1
Au4 Au 0.642 0.590 0.584 1
Au5 Au 0.763 0.484 0.985 1
Au6 Au 0.764 0.991 0.481 1
```

Peak list (10 most intense, 10° ≤ 2θ ≤ 80°, sorted by position)
2θ/deg	d [Å]	intensity
15.1	5.862	100
25.7	3.460	49
26.0	3.425	64
35.8	2.508	41
37.1	2.426	42
37.5	2.401	70
39.3	2.294	46
39.5	2.279	54
41.6	2.173	33
42.5	2.126	51


Question: Which formula does entry 3 have?
Answer: KSn2Sb2Au6


Question: What is the formula in the third record?
Answer: KSn2Sb2Au6